Starting from a cell relaxed with GGA-PBE, the powder diffractogram of LiTaRh2O6 was calculated for a wavelength of 1.5418 Å.
Intensities are scaled so that the largest is 1000.

Peak list (8 most intense, 2θ from 5° to 70°, by angle)
two_theta	I_rel
18.4	436
20.9	953
23.5	517
31.9	912
35.0	1000
39.8	415
52.1	800
62.7	332

Atomic structure:
abc: 5.658 5.658 5.658
angles: 53.92 53.92 53.92
Sites, in units of the cell vectors:
Li1 0.000 0.000 0.000
Ta1 0.488 0.488 0.488
Rh1 0.295 0.295 0.295
Rh2 0.795 0.795 0.795
O1 0.091 0.692 0.389
O2 0.209 0.558 0.884
O3 0.389 0.091 0.692
O4 0.558 0.884 0.209
O5 0.692 0.389 0.091
O6 0.884 0.209 0.558